For RbSrCl3, a structure optimized by DFT (PBE) gives the computed powder diffractogram in this record (a wavelength of 1.5418 Å).
Neutral-atom scattering factors, no anomalous dispersion.

The 12 most intense peaks (2θ from 5° to 70°), sorted by position:
2θ 15.5, d 5.701, intensity 10; 2θ 22.0, d 4.031, intensity 100; 2θ 27.1, d 3.292, intensity 26; 2θ 31.4, d 2.851, intensity 88; 2θ 38.7, d 2.328, intensity 48; 2θ 45.0, d 2.016, intensity 60; 2θ 50.6, d 1.803, intensity 22; 2θ 53.3, d 1.719, intensity 8; 2θ 55.8, d 1.646, intensity 15; 2θ 60.8, d 1.524, intensity 20; 2θ 65.5, d 1.425, intensity 9; 2θ 70.0, d 1.344, intensity 7

Cell lengths 8.0600, 8.0692, 5.6986 Å; angles 90.00, 90.11, 90.00 degrees
Element x y z (fractional)
Rb1 0.0000 0.0000 0.0000
Rb2 0.5000 0.5000 0.0000
Sr1 0.0004 0.5000 0.4860
Sr2 0.5004 0.0000 0.4860
Cl1 0.0137 0.5000 0.9860
Cl2 0.2511 0.2495 0.4848
Cl3 0.2511 0.7505 0.4848
Cl4 0.5137 0.0000 0.9860
Cl5 0.7511 0.2505 0.4848
Cl6 0.7511 0.7495 0.4848